Calculated powder X-ray diffraction pattern of LiV2O4 for a wavelength of 1.5418 Å, from DFT lattice parameters and positions (PBE+U).
Kinematic intensities with the Lorentz-polarization factor, no thermal factor.

Crystal structure
Unit cell a=8.380 b=8.380 c=8.380 alpha=90.00 beta=90.00 gamma=90.00
Space group Fd-3m (No. 227, origin choice 2)
Symmetry-distinct sites (fractional):
Li (0.125, 0.125, 0.125) x8
V (0.000, 0.000, 0.500) x16
O (0.011, 0.011, 0.739) x32

Top 8 peaks for 2θ from 10° to 90°, low angle first:
2θ 18.3, intensity 100.0; 2θ 35.5, intensity 48.0; 2θ 43.2, intensity 61.2; 2θ 47.3, intensity 9.8; 2θ 57.1, intensity 20.2; 2θ 62.7, intensity 36.7; 2θ 66.0, intensity 13.3; 2θ 79.2, intensity 9.3



Calculated powder X-ray diffraction pattern of Mn5V4O12 for a wavelength of 1.5418 Å, from DFT lattice parameters and positions (PBE+U).
Kinematic intensities with the Lorentz-polarization factor, no thermal factor.

Crystal structure
Unit cell a=8.802 b=8.527 c=13.878 alpha=90.00 beta=108.16 gamma=90.00
Space group C2/c (No. 15)
Symmetry-distinct sites (fractional):
Mn (0.000, 0.126, 0.250) x4
Mn (0.167, 0.499, 0.833) x8
Mn (0.168, 0.372, 0.083) x8
V (0.000, 0.000, 0.000) x4
V (0.082, 0.250, 0.665) x8
V (0.250, 0.250, 0.500) x4
O (0.019, 0.240, 0.509) x8
O (0.081, 0.486, 0.673) x8
O (0.084, 0.015, 0.657) x8
O (0.148, 0.268, 0.824) x8
O (0.183, 0.268, 0.344) x8
O (0.230, 0.008, 0.505) x8

Top 8 peaks for 2θ from 10° to 90°, low angle first:
2θ 29.2, intensity 59.7; 2θ 33.8, intensity 100.0; 2θ 34.0, intensity 89.0; 2θ 34.7, intensity 85.8; 2θ 41.0, intensity 39.7; 2θ 54.2, intensity 31.7; 2θ 54.3, intensity 31.3; 2θ 60.5, intensity 84.3



Calculated powder X-ray diffraction pattern of HfMg14FeO16 for a wavelength of 1.5418 Å, from DFT lattice parameters and positions (PBE+U).
Kinematic intensities with the Lorentz-polarization factor, no thermal factor.

Crystal structure
Unit cell a=8.659 b=8.659 c=4.299 alpha=90.00 beta=90.00 gamma=90.00
Space group P4/mmm (No. 123)
Symmetry-distinct sites (fractional):
Hf (0.000, 0.000, 0.000) x1
Mg (0.000, 0.257, 0.500) x4
Mg (0.000, 0.500, 0.000) x2
Mg (0.250, 0.500, 0.500) x4
Mg (0.257, 0.257, 0.000) x4
Fe (0.500, 0.500, 0.000) x1
O (0.000, 0.000, 0.500) x1
O (0.000, 0.252, 0.000) x4
O (0.000, 0.500, 0.500) x2
O (0.240, 0.500, 0.000) x4
O (0.250, 0.250, 0.500) x4
O (0.500, 0.500, 0.500) x1

Top 8 peaks for 2θ from 10° to 90°, low angle first:
2θ 10.2, intensity 46.6; 2θ 14.5, intensity 57.1; 2θ 20.5, intensity 29.7; 2θ 25.3, intensity 35.2; 2θ 36.0, intensity 46.3; 2θ 41.7, intensity 100.0; 2θ 42.0, intensity 49.3; 2θ 60.7, intensity 58.0



Calculated powder X-ray diffraction pattern of Na2FeO3 for a wavelength of 1.5418 Å, from DFT lattice parameters and positions (PBE+U).
Kinematic intensities with the Lorentz-polarization factor, no thermal factor.

Crystal structure
Unit cell a=5.391 b=9.338 c=10.958 alpha=90.00 beta=99.79 gamma=90.00
Space group C2 (No. 5)
Symmetry-distinct sites (fractional):
Na (0.000, 0.000, 0.000) x2
Na (0.000, 0.173, 0.500) x2
Na (0.237, 0.008, 0.750) x4
Na (0.240, 0.167, 0.250) x4
Na (0.244, 0.835, 0.250) x4
Fe (0.000, 0.334, 0.000) x2
Fe (0.000, 0.507, 0.500) x2
Fe (0.000, 0.666, 0.000) x2
Fe (0.000, 0.840, 0.500) x2
O (0.087, 0.508, 0.899) x4
O (0.088, 0.682, 0.400) x4
O (0.142, 0.807, 0.901) x4
O (0.143, 0.982, 0.398) x4
O (0.163, 0.184, 0.898) x4
O (0.167, 0.358, 0.399) x4

Top 8 peaks for 2θ from 10° to 90°, low angle first:
2θ 16.4, intensity 60.4; 2θ 33.2, intensity 17.4; 2θ 35.1, intensity 26.5; 2θ 40.1, intensity 100.0; 2θ 40.3, intensity 49.7; 2θ 56.7, intensity 13.7; 2θ 57.0, intensity 27.5; 2θ 59.4, intensity 37.7



Calculated powder X-ray diffraction pattern of Mn4O7F for a wavelength of 1.5418 Å, from DFT lattice parameters and positions (PBE+U).
Kinematic intensities with the Lorentz-polarization factor, no thermal factor.

Crystal structure
Unit cell a=4.470 b=10.990 c=4.979 alpha=90.00 beta=90.21 gamma=90.00
Space group Pc (No. 7)
Symmetry-distinct sites (fractional):
Mn (0.000, 0.067, 0.000) x2
Mn (0.025, 0.426, 0.507) x2
Mn (0.521, 0.178, 0.525) x2
Mn (0.529, 0.334, 0.008) x2
O (0.239, 0.056, 0.681) x2
O (0.254, 0.445, 0.180) x2
O (0.286, 0.306, 0.687) x2
O (0.746, 0.193, 0.846) x2
O (0.750, 0.305, 0.341) x2
O (0.772, 0.056, 0.334) x2
O (0.794, 0.448, 0.831) x2
F (0.269, 0.189, 0.183) x2

Top 8 peaks for 2θ from 10° to 90°, low angle first:
2θ 25.7, intensity 58.2; 2θ 31.4, intensity 100.0; 2θ 37.4, intensity 22.4; 2θ 42.7, intensity 17.2; 2θ 54.1, intensity 14.0; 2θ 56.1, intensity 19.3; 2θ 56.2, intensity 19.3; 2θ 65.7, intensity 17.3